(1)
Calculated PXRD pattern of Dy2Pd2Pt3 for Cu Kα, 1.54184 Å, from DFT lattice parameters and positions (GGA-PBE).
Intensities are scaled so that the largest is 1000.

Structure:
Unit cell a=8.219 b=8.219 c=8.219 alpha=90.00 beta=90.00 gamma=90.00
Space group I2_13 (No. 199)
Inequivalent atoms, fractional coordinates:
Dy1 0.247 0.253 0.747 (multiplicity 8)
Pd1 0.063 0.437 0.563 (multiplicity 8)
Pt1 0.000 0.250 0.010 (multiplicity 12)

Top 6 peaks for 2θ = 10–80°, by angle:
34.51°, I = 426, (3 1 0); 37.92°, I = 1000, (2 2 2); 41.09°, I = 584, (3 1 2); 44.07°, I = 573, (4 0 0); 64.09°, I = 379, (4 4 0); 76.95°, I = 528, (6 2 2)

***

(2)
Calculated PXRD pattern of PmErSiHg for Cu Kα, 1.54184 Å, from DFT lattice parameters and positions (GGA-PBE).
Intensities are scaled so that the largest is 1000.

Structure:
Unit cell a=7.293 b=7.293 c=7.293 alpha=90.00 beta=90.00 gamma=90.00
Space group F-43m (No. 216)
Inequivalent atoms, fractional coordinates:
Pm1 0.000 0.000 0.000 (multiplicity 4)
Er1 0.000 0.000 0.500 (multiplicity 4)
Si1 0.250 0.250 0.250 (multiplicity 4)
Hg1 0.250 0.250 0.750 (multiplicity 4)

Top 6 peaks for 2θ = 10–80°, by angle:
21.10°, I = 226, (1 1 1); 34.79°, I = 1000, (2 2 0); 41.04°, I = 132, (3 1 1); 50.02°, I = 180, (4 0 0); 62.37°, I = 372, (4 2 2); 73.44°, I = 116, (4 4 0)

***

(3)
Calculated PXRD pattern of Pr2Ge4Pt3Rh for Cu Kα, 1.54184 Å, from DFT lattice parameters and positions (GGA-PBE).
Intensities are scaled so that the largest is 1000.

Structure:
Unit cell a=4.333 b=4.333 c=10.269 alpha=90.00 beta=90.00 gamma=90.00
Space group P-4m2 (No. 115)
Inequivalent atoms, fractional coordinates:
Pr1 0.000 0.500 0.247 (multiplicity 2)
Ge1 0.000 0.000 0.000 (multiplicity 1)
Ge2 0.000 0.500 0.629 (multiplicity 2)
Ge3 0.500 0.500 0.000 (multiplicity 1)
Pt1 0.000 0.500 0.871 (multiplicity 2)
Pt2 0.500 0.500 0.500 (multiplicity 1)
Rh1 0.000 0.000 0.500 (multiplicity 1)

Top 6 peaks for 2θ = 10–80°, by angle:
33.36°, I = 749, (1 0 3); 34.07°, I = 1000, (1 1 2); 41.68°, I = 801, (2 0 0); 46.13°, I = 363, (1 1 4); 49.09°, I = 314, (1 0 5); 54.40°, I = 375, (2 1 3)